1.
# SmZrNiRh
Calculated powder XRD pattern, Cu Kα. Input: a crystal structure in Alexandria, relaxed with PBE.

Cell and atoms:
Unit cell a=6.745 b=6.745 c=6.745 alpha=90.00 beta=90.00 gamma=90.00
Sites, in units of the cell vectors:
1 Sm 0.000 0.000 0.000
2 Sm 0.000 0.500 0.500
3 Sm 0.500 0.000 0.500
4 Sm 0.500 0.500 0.000
5 Zr 0.000 0.000 0.500
6 Zr 0.000 0.500 0.000
7 Zr 0.500 0.000 0.000
8 Zr 0.500 0.500 0.500
9 Ni 0.250 0.250 0.750
10 Ni 0.250 0.750 0.250
11 Ni 0.750 0.250 0.250
12 Ni 0.750 0.750 0.750
13 Rh 0.250 0.250 0.250
14 Rh 0.250 0.750 0.750
15 Rh 0.750 0.250 0.750
16 Rh 0.750 0.750 0.250

Top 10 peaks for 10 to 80 degrees two-theta, in order of rising 2θ:
22.84°, d = 3.894 Å, rel. 6.7; 26.43°, d = 3.373 Å, rel. 3.8; 37.72°, d = 2.385 Å, rel. 100.0; 44.55°, d = 2.034 Å, rel. 3.6; 46.65°, d = 1.947 Å, rel. 1.1; 54.41°, d = 1.686 Å, rel. 17.0; 59.76°, d = 1.547 Å, rel. 1.6; 61.48°, d = 1.508 Å, rel. 1.6; 68.10°, d = 1.377 Å, rel. 33.9; 72.87°, d = 1.298 Å, rel. 1.2

2.
# Ni2Sn5Rh2
Calculated powder XRD pattern, Cu Kα. Input: a crystal structure in Alexandria, relaxed with PBE.

Cell and atoms:
Unit cell a=9.007 b=9.007 c=9.007 alpha=64.51 beta=134.40 gamma=136.95
Sites, in units of the cell vectors:
1 Ni 0.000 0.000 0.000
2 Ni 0.000 0.500 0.500
3 Ni 0.672 0.431 0.741
4 Ni 0.690 0.931 0.259
5 Sn 0.157 0.148 0.318
6 Sn 0.157 0.339 0.509
7 Sn 0.173 0.583 0.090
8 Sn 0.493 0.083 0.910
9 Sn 0.506 0.120 0.265
10 Sn 0.506 0.741 0.886
11 Sn 0.830 0.648 0.491
12 Sn 0.830 0.839 0.682
13 Sn 0.855 0.241 0.735
14 Sn 0.855 0.620 0.114
15 Rh 0.330 0.251 0.894
16 Rh 0.330 0.936 0.579
17 Rh 0.357 0.436 0.106
18 Rh 0.357 0.751 0.421

Top 10 peaks for 10 to 80 degrees two-theta, in order of rising 2θ:
29.52°, d = 3.026 Å, rel. 69.1; 30.50°, d = 2.931 Å, rel. 64.0; 32.05°, d = 2.793 Å, rel. 100.0; 33.99°, d = 2.638 Å, rel. 59.3; 34.85°, d = 2.575 Å, rel. 51.9; 40.18°, d = 2.244 Å, rel. 64.7; 42.88°, d = 2.109 Å, rel. 60.3; 43.05°, d = 2.101 Å, rel. 70.4; 45.03°, d = 2.013 Å, rel. 50.6; 47.83°, d = 1.902 Å, rel. 53.1

3.
# Sr2Zn6NiRh
Calculated powder XRD pattern, Cu Kα. Input: a crystal structure in Alexandria, relaxed with PBE.

Cell and atoms:
Unit cell a=6.747 b=6.747 c=6.747 alpha=120.09 beta=120.09 gamma=89.85
Sites, in units of the cell vectors:
1 Sr 0.250 0.750 0.500
2 Sr 0.750 0.250 0.500
3 Zn 0.244 0.244 0.000
4 Zn 0.244 0.244 0.488
5 Zn 0.244 0.756 0.000
6 Zn 0.756 0.244 0.000
7 Zn 0.756 0.756 0.000
8 Zn 0.756 0.756 0.512
9 Ni 0.000 0.000 0.000
10 Rh 0.500 0.500 0.000

Top 10 peaks for 10 to 80 degrees two-theta, in order of rising 2θ:
18.61°, d = 4.768 Å, rel. 29.5; 26.43°, d = 3.372 Å, rel. 54.8; 32.52°, d = 2.753 Å, rel. 94.4; 37.66°, d = 2.388 Å, rel. 50.4; 37.77°, d = 2.382 Å, rel. 100.0; 42.39°, d = 2.132 Å, rel. 13.2; 46.66°, d = 1.947 Å, rel. 22.3; 54.42°, d = 1.686 Å, rel. 99.9; 64.90°, d = 1.437 Å, rel. 23.6; 68.12°, d = 1.377 Å, rel. 32.7

4.
# SrZn3NiRh
Calculated powder XRD pattern, Cu Kα. Input: a crystal structure in Alexandria, relaxed with PBE.

Cell and atoms:
Unit cell a=6.960 b=6.960 c=5.645 alpha=90.00 beta=90.00 gamma=124.07
Sites, in units of the cell vectors:
1 Sr 0.228 0.772 0.750
2 Sr 0.772 0.228 0.250
3 Zn 0.208 0.208 0.000
4 Zn 0.208 0.208 0.500
5 Zn 0.345 0.655 0.250
6 Zn 0.655 0.345 0.750
7 Zn 0.792 0.792 0.000
8 Zn 0.792 0.792 0.500
9 Ni 0.463 0.537 0.750
10 Ni 0.537 0.463 0.250
11 Rh 0.135 0.865 0.250
12 Rh 0.865 0.135 0.750

Top 10 peaks for 10 to 80 degrees two-theta, in order of rising 2θ:
14.41°, d = 6.148 Å, rel. 11.8; 27.32°, d = 3.264 Å, rel. 19.0; 30.23°, d = 2.957 Å, rel. 17.3; 31.02°, d = 2.883 Å, rel. 22.8; 34.98°, d = 2.565 Å, rel. 21.8; 41.22°, d = 2.190 Å, rel. 11.4; 42.37°, d = 2.133 Å, rel. 100.0; 43.52°, d = 2.080 Å, rel. 15.5; 59.00°, d = 1.566 Å, rel. 16.4; 63.91°, d = 1.457 Å, rel. 12.8

5.
# Ta4NiRh
Calculated powder XRD pattern, Cu Kα. Input: a crystal structure in Alexandria, relaxed with PBE.

Cell and atoms:
Unit cell a=6.277 b=6.277 c=5.047 alpha=90.00 beta=90.00 gamma=90.00
Sites, in units of the cell vectors:
1 Ta 0.152 0.337 0.000
2 Ta 0.152 0.663 0.500
3 Ta 0.337 0.152 0.500
4 Ta 0.337 0.848 0.000
5 Ta 0.663 0.152 0.000
6 Ta 0.663 0.848 0.500
7 Ta 0.848 0.337 0.500
8 Ta 0.848 0.663 0.000
9 Ni 0.000 0.000 0.250
10 Ni 0.000 0.000 0.750
11 Rh 0.500 0.500 0.250
12 Rh 0.500 0.500 0.750

Top 10 peaks for 10 to 80 degrees two-theta, in order of rising 2θ:
35.57°, d = 2.524 Å, rel. 13.3; 36.63°, d = 2.453 Å, rel. 100.0; 40.65°, d = 2.219 Å, rel. 4.9; 41.15°, d = 2.194 Å, rel. 18.0; 45.71°, d = 1.985 Å, rel. 27.7; 46.16°, d = 1.967 Å, rel. 17.8; 63.86°, d = 1.458 Å, rel. 12.3; 64.58°, d = 1.443 Å, rel. 19.4; 70.69°, d = 1.333 Å, rel. 10.5; 74.31°, d = 1.276 Å, rel. 15.6

6.
# Ta3Ni3Rh2
Calculated powder XRD pattern, Cu Kα. Input: a crystal structure in Alexandria, relaxed with PBE.

Cell and atoms:
Unit cell a=6.760 b=6.760 c=3.050 alpha=90.00 beta=90.00 gamma=120.00
Sites, in units of the cell vectors:
1 Ta 0.000 0.362 0.000
2 Ta 0.362 0.000 0.000
3 Ta 0.638 0.638 0.000
4 Ni 0.000 0.778 0.500
5 Ni 0.222 0.222 0.500
6 Ni 0.778 0.000 0.500
7 Rh 0.333 0.667 0.500
8 Rh 0.667 0.333 0.500

Top 10 peaks for 10 to 80 degrees two-theta, in order of rising 2θ:
26.37°, d = 3.380 Å, rel. 36.6; 39.81°, d = 2.264 Å, rel. 100.0; 40.78°, d = 2.213 Å, rel. 20.4; 42.82°, d = 2.112 Å, rel. 13.3; 46.54°, d = 1.951 Å, rel. 31.3; 50.99°, d = 1.791 Å, rel. 7.4; 54.28°, d = 1.690 Å, rel. 10.4; 60.73°, d = 1.525 Å, rel. 8.5; 62.87°, d = 1.478 Å, rel. 12.8; 79.82°, d = 1.202 Å, rel. 12.9